VBr3Cl: computed powder diffractogram (Cu Kα (λ = 1.5418 Å)), based on the GGA-PBE geometry in Alexandria.
No peak broadening, texture or thermal motion is included.

Crystal structure
a = 8.3053 Å, b = 7.1463 Å, c = 7.0627 Å
α = 90.00°, β = 90.00°, γ = 90.00°
Space group Pmn2_1 (No. 31)
Asymmetric unit:
V  0.0000  0.1757  0.0000 x2
Br  0.0000  0.1989  0.3243 x2
Br  0.2255  0.3213  0.8828 x4
Cl  0.0000  0.8866  0.9168 x2

Top 10 peaks for 10 to 80 degrees two-theta, by angle:
16.4°, 5.417 Å, rel. 61.3
17.7°, 5.023 Å, rel. 35.1
24.8°, 3.590 Å, rel. 32.1
24.9°, 3.573 Å, rel. 28.1
25.2°, 3.531 Å, rel. 51.0
27.9°, 3.201 Å, rel. 100.0
28.0°, 3.188 Å, rel. 37.5
35.7°, 2.515 Å, rel. 28.3
43.8°, 2.066 Å, rel. 26.3
46.1°, 1.968 Å, rel. 43.1